No. 1
Starting from a cell relaxed with GGA-PBE, the X-ray diffraction stick pattern of Ba3RuF6 was simulated for Cu Kα (λ = 1.5418 Å).
Peak positions follow from Bragg's law for the DFT cell and can differ from measured ones.

Top 8 peaks for 2θ from 15° to 90°, in order of rising 2θ:
Position (°2θ)	I/Imax
22.5	79
23.4	42
27.8	91
28.0	100
35.7	57
36.8	100
43.9	39
45.9	50

Crystal structure
Lattice parameters (Å, degrees): 6.527 6.550 6.550 100.25 96.87 96.73
Atoms (fractional coordinates):
Ba  0.000  0.000  0.000
Ba  0.000  0.500  0.500
Ba  0.500  0.000  0.500
Ru  0.000  0.000  0.500
F  0.154  0.770  0.271
F  0.250  0.246  0.324
F  0.252  0.824  0.747
F  0.748  0.176  0.253
F  0.750  0.754  0.676
F  0.846  0.230  0.729

---

No. 2
Starting from a cell relaxed with GGA-PBE, the X-ray diffraction stick pattern of LiGe3SbTe5 was simulated for Cu Kα (λ = 1.5418 Å).
Peak positions follow from Bragg's law for the DFT cell and can differ from measured ones.

Top 8 peaks for 2θ from 15° to 90°, in order of rising 2θ:
Position (°2θ)	I/Imax
29.4	100
41.9	36
42.2	38
52.3	20
61.0	12
68.9	15
69.3	17
76.9	12

Crystal structure
Lattice parameters (Å, degrees): 17.850 17.850 17.850 13.78 13.78 13.78
Atoms (fractional coordinates):
Li  0.000  0.000  0.000
Ge  0.206  0.206  0.206
Ge  0.607  0.607  0.607
Ge  0.806  0.806  0.806
Sb  0.403  0.403  0.403
Te  0.105  0.105  0.105
Te  0.302  0.302  0.302
Te  0.502  0.502  0.502
Te  0.702  0.702  0.702
Te  0.901  0.901  0.901

---

No. 3
Starting from a cell relaxed with GGA-PBE, the X-ray diffraction stick pattern of Ba2Nd4MgCu2O10 was simulated for Cu Kα (λ = 1.5418 Å).
Peak positions follow from Bragg's law for the DFT cell and can differ from measured ones.

Top 8 peaks for 2θ from 15° to 90°, in order of rising 2θ:
Position (°2θ)	I/Imax
27.7	64
29.8	83
30.3	88
31.4	100
31.8	32
42.2	29
48.8	30
53.2	31

Crystal structure
Lattice parameters (Å, degrees): 6.482 5.995 7.656 90.00 93.97 90.00
Atoms (fractional coordinates):
Ba  0.000  0.000  0.000
Ba  0.417  0.000  0.617
Nd  0.196  0.500  0.346
Nd  0.307  0.500  0.861
Nd  0.694  0.500  0.166
Nd  0.800  0.500  0.689
Mg  0.646  0.000  0.300
Cu  0.495  0.000  0.004
Cu  0.958  0.000  0.544
O  0.028  0.500  0.049
O  0.097  0.244  0.712
O  0.097  0.756  0.712
O  0.417  0.237  0.222
O  0.417  0.763  0.222
O  0.459  0.500  0.572
O  0.627  0.257  0.884
O  0.627  0.743  0.884
O  0.859  0.243  0.360
O  0.859  0.757  0.360

---

No. 4
Starting from a cell relaxed with GGA-PBE, the X-ray diffraction stick pattern of CuPO4F was simulated for Cu Kα (λ = 1.5418 Å).
Peak positions follow from Bragg's law for the DFT cell and can differ from measured ones.

Top 8 peaks for 2θ from 15° to 90°, in order of rising 2θ:
Position (°2θ)	I/Imax
18.5	64
18.7	73
19.0	87
23.1	46
26.8	89
27.0	100
29.9	90
38.0	40

Crystal structure
Lattice parameters (Å, degrees): 5.135 5.173 7.175 108.27 106.71 96.49
Atoms (fractional coordinates):
Cu  0.000  0.000  0.000
Cu  0.500  0.500  0.500
P  0.061  0.393  0.741
P  0.939  0.607  0.259
O  0.144  0.170  0.836
O  0.168  0.689  0.909
O  0.204  0.340  0.573
O  0.260  0.701  0.375
O  0.740  0.299  0.625
O  0.796  0.660  0.427
O  0.832  0.311  0.091
O  0.856  0.830  0.164
F  0.348  0.188  0.233
F  0.652  0.812  0.767

---

No. 5
Starting from a cell relaxed with GGA-PBE, the X-ray diffraction stick pattern of UCO5 was simulated for Cu Kα (λ = 1.5418 Å).
Peak positions follow from Bragg's law for the DFT cell and can differ from measured ones.

Top 8 peaks for 2θ from 15° to 90°, in order of rising 2θ:
Position (°2θ)	I/Imax
18.4	100
20.3	92
22.4	77
27.4	70
33.2	69
43.5	48
46.7	26
46.9	25

Crystal structure
Lattice parameters (Å, degrees): 4.891 9.665 4.349 90.00 90.00 90.00
Atoms (fractional coordinates):
U  0.250  0.250  0.238
U  0.750  0.750  0.762
C  0.250  0.750  0.376
C  0.750  0.250  0.624
O  0.014  0.750  0.246
O  0.250  0.065  0.244
O  0.250  0.435  0.244
O  0.250  0.750  0.676
O  0.486  0.750  0.246
O  0.514  0.250  0.754
O  0.750  0.250  0.324
O  0.750  0.565  0.756
O  0.750  0.935  0.756
O  0.986  0.250  0.754

---

No. 6
Starting from a cell relaxed with GGA-PBE, the X-ray diffraction stick pattern of CdPt was simulated for Cu Kα (λ = 1.5418 Å).
Peak positions follow from Bragg's law for the DFT cell and can differ from measured ones.

Top 8 peaks for 2θ from 15° to 90°, in order of rising 2θ:
Position (°2θ)	I/Imax
37.8	100
42.5	36
46.6	14
61.7	12
64.9	20
74.6	27
80.5	11
80.7	11

Crystal structure
Lattice parameters (Å, degrees): 3.009 3.009 3.898 90.00 90.00 90.00
Atoms (fractional coordinates):
Cd  0.000  0.000  0.000
Pt  0.500  0.500  0.500

---

No. 7
Starting from a cell relaxed with GGA-PBE, the X-ray diffraction stick pattern of PrSi2Os2 was simulated for Cu Kα (λ = 1.5418 Å).
Peak positions follow from Bragg's law for the DFT cell and can differ from measured ones.

Top 8 peaks for 2θ from 15° to 90°, in order of rising 2θ:
Position (°2θ)	I/Imax
17.8	28
34.3	15
35.0	100
36.0	19
42.8	36
57.1	20
64.1	19
73.4	24

Crystal structure
Lattice parameters (Å, degrees): 5.816 5.816 5.816 137.43 137.43 61.78
Atoms (fractional coordinates):
Pr  0.000  0.000  0.000
Si  0.367  0.367  0.000
Si  0.633  0.633  0.000
Os  0.250  0.750  0.500
Os  0.750  0.250  0.500

---

No. 8
Starting from a cell relaxed with GGA-PBE, the X-ray diffraction stick pattern of Ba2ScNbO6 was simulated for Cu Kα (λ = 1.5418 Å).
Peak positions follow from Bragg's law for the DFT cell and can differ from measured ones.

Top 8 peaks for 2θ from 15° to 90°, in order of rising 2θ:
Position (°2θ)	I/Imax
30.3	100
37.4	14
43.4	33
53.9	39
63.1	20
71.6	17
79.7	7
87.6	21

Crystal structure
Lattice parameters (Å, degrees): 5.893 5.893 5.893 60.00 60.00 60.00
Atoms (fractional coordinates):
Ba  0.250  0.250  0.250
Ba  0.750  0.750  0.750
Sc  0.000  0.000  0.000
Nb  0.500  0.500  0.500
O  0.256  0.256  0.744
O  0.256  0.744  0.256
O  0.256  0.744  0.744
O  0.744  0.256  0.256
O  0.744  0.256  0.744
O  0.744  0.744  0.256

---

No. 9
Starting from a cell relaxed with GGA-PBE, the X-ray diffraction stick pattern of Rb2SbBr6 was simulated for Cu Kα (λ = 1.5418 Å).
Peak positions follow from Bragg's law for the DFT cell and can differ from measured ones.

Top 8 peaks for 2θ from 15° to 90°, in order of rising 2θ:
Position (°2θ)	I/Imax
28.0	100
32.3	36
32.5	69
46.5	49
46.6	23
55.3	24
57.9	24
77.4	18

Crystal structure
Lattice parameters (Å, degrees): 13.542 13.542 13.542 131.99 131.99 70.25
Atoms (fractional coordinates):
Rb  0.000  0.224  0.224
Rb  0.000  0.776  0.776
Rb  0.224  0.000  0.724
Rb  0.224  0.500  0.224
Rb  0.500  0.224  0.724
Rb  0.500  0.776  0.276
Rb  0.776  0.000  0.276
Rb  0.776  0.500  0.776
Sb  0.125  0.875  0.250
Sb  0.375  0.625  0.750
Sb  0.625  0.375  0.250
Sb  0.875  0.125  0.750
Br  0.000  0.250  0.750
Br  0.000  0.750  0.250
Br  0.128  0.128  0.001
Br  0.128  0.128  0.501
Br  0.128  0.627  0.999
Br  0.135  0.627  0.508
Br  0.250  0.000  0.250
Br  0.256  0.506  0.750
Br  0.373  0.382  0.508
Br  0.373  0.865  0.992
Br  0.373  0.872  0.501
Br  0.382  0.373  0.008
Br  0.494  0.744  0.750
Br  0.506  0.256  0.250
Br  0.618  0.627  0.992
Br  0.627  0.128  0.499
Br  0.627  0.135  0.008
Br  0.627  0.618  0.492
Br  0.744  0.494  0.250
Br  0.750  0.000  0.750
Br  0.865  0.373  0.492
Br  0.872  0.373  0.001
Br  0.872  0.872  0.499
Br  0.872  0.872  0.999